1.
For ErSi3Ru3, a structure optimized by DFT (PBE) gives the computed X-ray powder pattern in this record (Cu Ka).
Lines closer than 0.1° are merged.

The 8 most intense peaks (2θ from 15° to 90°), sorted by position:
2θ 27.63, I = 43.4
2θ 30.97, I = 32.3
2θ 34.01, I = 100.0
2θ 53.07, I = 55.8
2θ 57.06, I = 19.7
2θ 64.55, I = 15.4
2θ 68.11, I = 13.1
2θ 81.68, I = 15.9

a = 6.457 Å, b = 6.457 Å, c = 6.457 Å
α = 90.00°, β = 90.00°, γ = 90.00°
Atoms (fractional coordinates):
Er (0.000, 0.000, 0.000)
Er (0.500, 0.500, 0.500)
Si (0.000, 0.250, 0.500)
Si (0.000, 0.750, 0.500)
Si (0.250, 0.500, 0.000)
Si (0.500, 0.000, 0.250)
Si (0.500, 0.000, 0.750)
Si (0.750, 0.500, 0.000)
Ru (0.000, 0.500, 0.250)
Ru (0.000, 0.500, 0.750)
Ru (0.250, 0.000, 0.500)
Ru (0.500, 0.250, 0.000)
Ru (0.500, 0.750, 0.000)
Ru (0.750, 0.000, 0.500)

2.
For U2SnSe6, a structure optimized by DFT (PBE) gives the computed X-ray powder pattern in this record (Cu Ka).
Lines closer than 0.1° are merged.

The 8 most intense peaks (2θ from 15° to 90°), sorted by position:
2θ 21.15, I = 100.0
2θ 24.35, I = 20.2
2θ 25.73, I = 19.8
2θ 34.97, I = 40.5
2θ 38.61, I = 18.9
2θ 41.00, I = 37.0
2θ 41.57, I = 19.7
2θ 49.90, I = 19.4

a = 11.408 Å, b = 11.408 Å, c = 11.408 Å
α = 153.81°, β = 153.81°, γ = 37.38°
Atoms (fractional coordinates):
U (0.185, 0.185, 0.000)
U (0.815, 0.815, 0.000)
Sn (0.500, 0.500, 0.000)
Se (0.146, 0.655, 0.000)
Se (0.250, 0.750, 0.500)
Se (0.345, 0.345, 0.491)
Se (0.655, 0.146, 0.000)
Se (0.750, 0.250, 0.500)
Se (0.854, 0.854, 0.509)

3.
For Ho3Cu6Sn5, a structure optimized by DFT (PBE) gives the computed X-ray powder pattern in this record (Cu Ka).
Lines closer than 0.1° are merged.

The 8 most intense peaks (2θ from 15° to 90°), sorted by position:
2θ 29.48, I = 75.2
2θ 34.11, I = 75.1
2θ 34.34, I = 60.7
2θ 34.68, I = 100.0
2θ 37.00, I = 46.4
2θ 41.80, I = 64.9
2θ 42.56, I = 61.0
2θ 64.11, I = 36.2

a = 8.364 Å, b = 8.364 Å, c = 8.364 Å
α = 150.06°, β = 107.16°, γ = 80.71°
Atoms (fractional coordinates):
Ho (0.000, 0.000, 0.000)
Ho (0.310, 0.310, 0.000)
Ho (0.690, 0.690, 0.000)
Cu (0.159, 0.873, 0.286)
Cu (0.311, 0.500, 0.811)
Cu (0.413, 0.127, 0.286)
Cu (0.587, 0.873, 0.714)
Cu (0.689, 0.500, 0.189)
Cu (0.841, 0.127, 0.714)
Sn (0.016, 0.664, 0.352)
Sn (0.311, 0.664, 0.648)
Sn (0.500, 0.000, 0.500)
Sn (0.689, 0.336, 0.352)
Sn (0.984, 0.336, 0.648)

4.
For Tb3As2Pd2Rh5, a structure optimized by DFT (PBE) gives the computed X-ray powder pattern in this record (Cu Ka).
Lines closer than 0.1° are merged.

The 8 most intense peaks (2θ from 15° to 90°), sorted by position:
2θ 31.22, I = 27.6
2θ 37.39, I = 100.0
2θ 37.72, I = 36.5
2θ 41.64, I = 31.8
2θ 43.65, I = 25.5
2θ 44.73, I = 69.4
2θ 65.11, I = 22.3
2θ 77.57, I = 23.4

a = 13.581 Å, b = 13.581 Å, c = 13.581 Å
α = 162.84°, β = 162.84°, γ = 24.36°
Atoms (fractional coordinates):
Tb (0.000, 0.000, 0.000)
Tb (0.167, 0.167, 0.000)
Tb (0.833, 0.833, 0.000)
As (0.370, 0.370, 0.000)
As (0.630, 0.630, 0.000)
Pd (0.276, 0.276, 0.000)
Pd (0.724, 0.724, 0.000)
Rh (0.079, 0.579, 0.500)
Rh (0.421, 0.921, 0.500)
Rh (0.500, 0.500, 0.000)
Rh (0.579, 0.079, 0.500)
Rh (0.921, 0.421, 0.500)

5.
For B7C5, a structure optimized by DFT (PBE) gives the computed X-ray powder pattern in this record (Cu Ka).
Lines closer than 0.1° are merged.

The 8 most intense peaks (2θ from 15° to 90°), sorted by position:
2θ 17.41, I = 83.4
2θ 23.28, I = 23.9
2θ 41.13, I = 100.0
2θ 41.36, I = 17.7
2θ 43.30, I = 16.8
2θ 68.82, I = 19.1
2θ 71.30, I = 28.6
2θ 85.91, I = 8.6

a = 2.646 Å, b = 2.646 Å, c = 15.282 Å
α = 90.00°, β = 90.00°, γ = 120.00°
Atoms (fractional coordinates):
B (0.000, 0.000, 0.000)
B (0.000, 0.000, 0.111)
B (0.000, 0.000, 0.652)
B (0.333, 0.667, 0.182)
B (0.333, 0.667, 0.718)
B (0.667, 0.333, 0.292)
B (0.667, 0.333, 0.541)
C (0.000, 0.000, 0.549)
C (0.333, 0.667, 0.284)
C (0.333, 0.667, 0.821)
C (0.667, 0.333, 0.857)
C (0.667, 0.333, 0.955)

6.
For CdPt3O8, a structure optimized by DFT (PBE) gives the computed X-ray powder pattern in this record (Cu Ka).
Lines closer than 0.1° are merged.

The 8 most intense peaks (2θ from 15° to 90°), sorted by position:
2θ 18.73, I = 100.0
2θ 32.67, I = 65.1
2θ 34.42, I = 13.1
2θ 34.54, I = 25.9
2θ 41.04, I = 32.9
2θ 41.24, I = 16.3
2θ 45.61, I = 15.3
2θ 57.12, I = 18.1

a = 6.017 Å, b = 6.017 Å, c = 6.045 Å
α = 115.33°, β = 115.33°, γ = 64.83°
Atoms (fractional coordinates):
Cd (0.000, 0.000, 0.000)
Pt (0.000, 0.500, 0.500)
Pt (0.500, 0.000, 0.500)
Pt (0.500, 0.500, 0.000)
O (0.251, 0.251, 0.301)
O (0.252, 0.701, 0.750)
O (0.265, 0.265, 0.734)
O (0.299, 0.748, 0.250)
O (0.701, 0.252, 0.750)
O (0.735, 0.735, 0.266)
O (0.748, 0.299, 0.250)
O (0.749, 0.749, 0.699)

7.
For YSc2TeC, a structure optimized by DFT (PBE) gives the computed X-ray powder pattern in this record (Cu Ka).
Lines closer than 0.1° are merged.

The 8 most intense peaks (2θ from 15° to 90°), sorted by position:
2θ 17.81, I = 16.3
2θ 27.85, I = 17.0
2θ 33.26, I = 100.0
2θ 36.08, I = 22.9
2θ 39.80, I = 34.5
2θ 54.79, I = 25.9
2θ 63.08, I = 14.9
2θ 68.11, I = 23.4

a = 4.530 Å, b = 4.530 Å, c = 4.979 Å
α = 90.00°, β = 90.00°, γ = 90.00°
Atoms (fractional coordinates):
Y (0.000, 0.000, 0.000)
Sc (0.000, 0.500, 0.500)
Sc (0.500, 0.000, 0.500)
Te (0.500, 0.500, 0.000)
C (0.000, 0.000, 0.500)

8.
For Tb3Zr, a structure optimized by DFT (PBE) gives the computed X-ray powder pattern in this record (Cu Ka).
Lines closer than 0.1° are merged.

The 8 most intense peaks (2θ from 15° to 90°), sorted by position:
2θ 29.42, I = 27.1
2θ 32.40, I = 37.9
2θ 33.49, I = 54.2
2θ 33.69, I = 100.0
2θ 44.33, I = 17.7
2θ 51.91, I = 20.0
2θ 58.62, I = 20.3
2θ 62.54, I = 22.2

a = 3.497 Å, b = 5.526 Å, c = 6.117 Å
α = 90.00°, β = 90.00°, γ = 90.00°
Atoms (fractional coordinates):
Tb (0.000, 0.000, 0.000)
Tb (0.000, 0.500, 0.336)
Tb (0.500, 0.500, 0.815)
Zr (0.500, 0.000, 0.498)